For BaLa3TiCr3O12, a structure optimized by DFT (GGA+U) gives the calculated PXRD pattern in this record (a wavelength of 1.5418 Å).

Crystal structure
Unit cell a=3.9529 b=5.6202 c=11.1281 alpha=90.00 beta=90.00 gamma=90.00
Fractional positions:
Ba 0.0000 0.0000 0.0000
La 0.0000 0.0000 0.5000
La 0.0000 0.5000 0.2580
La 0.0000 0.5000 0.7420
Ti 0.5000 0.5000 0.0000
Cr 0.5000 0.0000 0.2506
Cr 0.5000 0.0000 0.7494
Cr 0.5000 0.5000 0.5000
O 0.0000 0.0000 0.2637
O 0.0000 0.0000 0.7363
O 0.0000 0.5000 0.0000
O 0.0000 0.5000 0.5000
O 0.5000 0.2518 0.3752
O 0.5000 0.2518 0.6248
O 0.5000 0.2639 0.1297
O 0.5000 0.2639 0.8703
O 0.5000 0.7361 0.1297
O 0.5000 0.7361 0.8703
O 0.5000 0.7482 0.3752
O 0.5000 0.7482 0.6248

Main lines, by angle (10 to 90 degrees two-theta):
- 2θ = 22.49°, I = 25, (1 0 0)
- 2θ = 31.84°, I = 26, (0 2 0)
- 2θ = 32.02°, I = 100, (1 1 2)
- 2θ = 32.18°, I = 24, (0 0 4)
- 2θ = 39.34°, I = 17, (1 2 0)
- 2θ = 39.61°, I = 16, (1 0 4)
- 2θ = 45.91°, I = 50, (2 0 0)
- 2θ = 56.85°, I = 19, (1 3 2)
- 2θ = 57.23°, I = 28, (2 0 4)
- 2θ = 66.94°, I = 19, (2 2 4)